Computed powder diffractogram of Cs3V2CdO8 for λ = 1.5418 Å (Cu Kα), from a GGA+U-relaxed structure.
Peak positions follow from Bragg's law for the DFT cell and can differ from measured ones.

Structure:
a b c (Å): 6.2329 6.2329 8.3236
angles (deg): 90.00 90.00 120.00
Space group P-3m1 (No. 164)
Unique sites:
Cs (0.0000, 0.0000, 0.0000)
Cs (0.3333, 0.6667, 0.7093)
V (0.3333, 0.6667, 0.2728)
Cd (0.0000, 0.0000, 0.5000)
O (0.1786, 0.3572, 0.3380)
O (0.3333, 0.6667, 0.0666)

Top 10 peaks for 10 to 90 degrees two-theta, in order of falling intensity:
hkl  2θ (°)  d_spacing  I_rel
1 1 0  28.6  3.116  1000
0 1 2  27.1  3.296  995
2 0 2  39.8  2.264  451
1 2 2  49.8  1.832  350
1 1 4  52.9  1.731  213
3 0 0  50.7  1.799  193
2 2 0  59.3  1.558  165
3 1 2  66.4  1.409  154
0 2 1  34.9  2.567  129
1 0 1  19.6  4.529  111